1.
This entry pairs a crystal structure of Tb2YCl5 with its theoretical powder diffractogram. Radiation: Cu Kα. Structure: a structure optimized by DFT (GGA-PBE).

Cell lengths 6.4276, 6.4332, 7.2536 Å; angles 70.07, 70.93, 66.66 degrees
Fractional positions:
Tb1 0.0000 0.0000 0.0000
Tb2 0.4951 0.5045 0.0003
Y1 0.4511 0.9511 0.2531
Cl1 0.1806 0.6766 0.3224
Cl2 0.2361 0.2796 0.9722
Cl3 0.3340 0.8466 0.6717
Cl4 0.6881 0.1837 0.3213
Cl5 0.7735 0.7418 0.9735

Main lines, by angle (2θ = 5–70°):
d 6.649, I = 100; d 5.741, I = 16; d 5.035, I = 24; d 4.925, I = 24; d 3.138, I = 27; d 3.102, I = 28; d 2.685, I = 29; d 2.463, I = 17; d 2.438, I = 19; d 2.404, I = 18

---

2.
This entry pairs a crystal structure of Sm2Tm4Sn3O2 with its theoretical powder diffractogram. Radiation: Cu Kα. Structure: a structure optimized by DFT (GGA-PBE).

Cell lengths 12.9845, 12.9845, 12.9845 Å; angles 159.62, 159.62, 28.98 degrees
Fractional positions:
Sm1 0.1951 0.1951 0.0000
Sm2 0.8049 0.8049 0.0000
Tm1 0.0822 0.5822 0.5000
Tm2 0.4178 0.9178 0.5000
Tm3 0.5822 0.0822 0.5000
Tm4 0.9178 0.4178 0.5000
Sn1 0.3251 0.3251 0.0000
Sn2 0.5000 0.5000 0.0000
Sn3 0.6749 0.6749 0.0000
O1 0.0920 0.0920 0.0000
O2 0.9080 0.9080 0.0000

Main lines, by angle (2θ = 5–70°):
d 3.145, I = 63; d 2.886, I = 17; d 2.830, I = 15; d 2.568, I = 100; d 2.297, I = 53; d 1.855, I = 16; d 1.624, I = 18; d 1.548, I = 12; d 1.443, I = 16; d 1.373, I = 30

---

3.
This entry pairs a crystal structure of Ba3Zn2Br2O4 with its theoretical powder diffractogram. Radiation: Cu Kα. Structure: a structure optimized by DFT (GGA-PBE).

Cell lengths 13.1668, 13.1668, 13.1668 Å; angles 161.43, 161.43, 26.38 degrees
Fractional positions:
Ba1 0.0000 0.0000 0.0000
Ba2 0.1424 0.1424 0.0000
Ba3 0.8576 0.8576 0.0000
Zn1 0.4224 0.4224 0.0000
Zn2 0.5776 0.5776 0.0000
Br1 0.3034 0.3034 0.0000
Br2 0.6966 0.6966 0.0000
O1 0.0740 0.5740 0.5000
O2 0.4260 0.9260 0.5000
O3 0.5740 0.0740 0.5000
O4 0.9260 0.4260 0.5000

Main lines, by angle (2θ = 5–70°):
d 12.820, I = 10; d 6.410, I = 9; d 4.192, I = 9; d 3.004, I = 59; d 2.774, I = 100; d 2.458, I = 14; d 2.124, I = 32; d 1.687, I = 44; d 1.564, I = 9; d 1.502, I = 10

---

- Which formula does entry 3 have?
  Ba3Zn2Br2O4